1.
Diffraction record for CuAg3F6. The powder X-ray diffraction pattern is theoretical, not measured: it uses DFT lattice parameters and positions (PBE) and Cu Ka.

Cell and atoms:
```
CuAg3F6
1.0
4.8782 2.8164 3.6997
-4.8782 2.8164 3.6997
0.0000 -5.6329 3.6997
Cu Ag F
2 6 12
Direct
0.0000 0.0000 0.0000
0.5000 0.5000 0.5000
0.0704 0.7565 0.5545
0.2435 0.4455 0.9296
0.4455 0.9296 0.2435
0.5545 0.0704 0.7565
0.7565 0.5545 0.0704
0.9296 0.2435 0.4455
0.0516 0.7225 0.9116
0.0884 0.9484 0.2775
0.2252 0.4145 0.5662
0.2775 0.0884 0.9484
0.4145 0.5662 0.2252
0.4338 0.7748 0.5855
0.5662 0.2252 0.4145
0.5855 0.4338 0.7748
0.7225 0.9116 0.0516
0.7748 0.5855 0.4338
0.9116 0.0516 0.7225
0.9484 0.2775 0.0884
```

Principal peaks in the range 15° ≤ 2θ ≤ 90°, low angle first:
2θ (°)  d/Å  I/Imax
24.1  3.700  39
26.5  3.361  22
29.1  3.069  100
30.3  2.948  59
32.3  2.768  47
41.8  2.159  34
43.2  2.095  34
52.9  1.730  24

2.
Diffraction record for Cu3Ag6F14. The powder X-ray diffraction pattern is theoretical, not measured: it uses DFT lattice parameters and positions (PBE) and Cu Ka.

Cell and atoms:
```
Cu3Ag6F14
1.0
8.5603 0.0000 0.0000
-4.2802 7.4134 0.0000
0.0000 0.0000 5.6193
Cu Ag F
3 6 14
Direct
0.0000 0.0000 0.0000
0.3333 0.6667 0.4945
0.6667 0.3333 0.4490
0.0020 0.2552 0.5219
0.0024 0.5619 0.0055
0.2532 0.9980 0.5219
0.4381 0.4404 0.0055
0.5596 0.9976 0.0055
0.7448 0.7468 0.5219
0.0000 0.0000 0.3423
0.0659 0.8422 0.8306
0.1578 0.2237 0.8306
0.1636 0.7117 0.3164
0.2883 0.4519 0.3164
0.3333 0.6667 0.8299
0.4536 0.1840 0.2357
0.5466 0.1181 0.6655
0.5481 0.8364 0.3164
0.5715 0.4534 0.6655
0.7304 0.5464 0.2357
0.7763 0.9341 0.8306
0.8160 0.2696 0.2357
0.8819 0.4285 0.6655
```

Principal peaks in the range 15° ≤ 2θ ≤ 90°, low angle first:
2θ (°)  d/Å  I/Imax
26.2  3.405  87
28.9  3.094  100
31.9  2.805  69
35.8  2.508  23
45.7  1.984  42
47.1  1.931  21
49.1  1.855  24
56.5  1.628  25

3.
Diffraction record for CuAgF3. The powder X-ray diffraction pattern is theoretical, not measured: it uses DFT lattice parameters and positions (PBE) and Cu Ka.

Cell and atoms:
```
CuAgF3
1.0
2.7505 1.5880 5.4106
-2.7505 1.5880 5.4106
0.0000 -3.1760 5.4106
Cu Ag F
2 2 6
Direct
0.1610 0.1610 0.1610
0.8390 0.8390 0.8390
0.3566 0.3566 0.3566
0.6434 0.6434 0.6434
0.0480 0.8056 0.4387
0.1944 0.5613 0.9520
0.4387 0.0480 0.8056
0.5613 0.9520 0.1944
0.8056 0.4387 0.0480
0.9520 0.1944 0.5613
```

Principal peaks in the range 15° ≤ 2θ ≤ 90°, low angle first:
2θ (°)  d/Å  I/Imax
21.6  4.108  42
28.9  3.089  100
32.6  2.750  88
36.7  2.452  19
44.1  2.054  34
47.1  1.929  68
55.9  1.646  32
58.1  1.588  32

4.
Diffraction record for CuAg6F8. The powder X-ray diffraction pattern is theoretical, not measured: it uses DFT lattice parameters and positions (PBE) and Cu Ka.

Cell and atoms:
```
CuAg6F8
1.0
6.9577 0.0000 0.0000
-3.4789 6.0256 0.0000
0.0000 0.0000 5.5259
Cu Ag F
1 6 8
Direct
0.0000 0.0000 0.0000
0.0007 0.5951 0.7418
0.4049 0.4055 0.7418
0.4055 0.0007 0.2582
0.5945 0.9993 0.7418
0.5951 0.5945 0.2582
0.9993 0.4049 0.2582
0.0012 0.2505 0.7994
0.2493 0.9988 0.7994
0.2505 0.2493 0.2006
0.3333 0.6667 0.4968
0.6667 0.3333 0.5032
0.7495 0.7507 0.7994
0.7507 0.0012 0.2006
0.9988 0.7495 0.2006
```

Principal peaks in the range 15° ≤ 2θ ≤ 90°, low angle first:
2θ (°)  d/Å  I/Imax
25.6  3.479  25
29.7  3.013  57
30.4  2.944  100
32.4  2.763  41
41.7  2.164  53
43.0  2.106  74
45.1  2.009  24
57.6  1.600  53

5.
Diffraction record for Cu2Ag2F5. The powder X-ray diffraction pattern is theoretical, not measured: it uses DFT lattice parameters and positions (PBE) and Cu Ka.

Cell and atoms:
```
Cu2Ag2F5
1.0
3.8615 -8.2447 0.0000
3.8615 8.2447 0.0000
-3.7017 0.0000 3.9355
Cu Ag F
4 4 10
Direct
0.0000 0.0000 0.0000
0.2738 0.7742 0.0945
0.5577 0.5577 0.2591
0.7742 0.2738 0.0945
0.1254 0.8768 0.5353
0.3566 0.5383 0.5973
0.5383 0.3566 0.5973
0.8768 0.1254 0.5353
0.0633 0.5006 0.5986
0.1475 0.9138 0.0345
0.1593 0.1593 0.8190
0.4469 0.6736 0.2572
0.5006 0.0633 0.5986
0.5470 0.9958 0.0895
0.6736 0.4469 0.2572
0.7605 0.7605 0.0458
0.9138 0.1475 0.0345
0.9958 0.5470 0.0895
```

Principal peaks in the range 15° ≤ 2θ ≤ 90°, low angle first:
2θ (°)  d/Å  I/Imax
23.1  3.854  23
31.4  2.847  78
31.8  2.815  100
33.2  2.701  22
37.0  2.427  17
37.6  2.391  31
46.1  1.967  23
56.2  1.637  16

6.
Diffraction record for Cu2AgF6. The powder X-ray diffraction pattern is theoretical, not measured: it uses DFT lattice parameters and positions (PBE) and Cu Ka.

Cell and atoms:
```
Cu2AgF6
1.0
4.8587 0.0000 0.0000
0.0000 4.8587 0.0000
0.0000 0.0000 9.7819
Cu Ag F
4 2 12
Direct
0.0000 0.0000 0.1685
0.0000 0.0000 0.8315
0.5000 0.5000 0.3315
0.5000 0.5000 0.6685
0.0000 0.0000 0.5000
0.5000 0.5000 0.0000
0.1771 0.1771 0.0000
0.2090 0.2090 0.3160
0.2090 0.2090 0.6840
0.2910 0.7090 0.1840
0.2910 0.7090 0.8160
0.3229 0.6771 0.5000
0.6771 0.3229 0.5000
0.7090 0.2910 0.1840
0.7090 0.2910 0.8160
0.7910 0.7910 0.3160
0.7910 0.7910 0.6840
0.8229 0.8229 0.0000
```

Principal peaks in the range 15° ≤ 2θ ≤ 90°, low angle first:
2θ (°)  d/Å  I/Imax
25.9  3.436  100
33.1  2.707  69
37.0  2.429  14
50.5  1.808  66
53.3  1.718  18
60.2  1.536  12
63.1  1.473  14
64.2  1.450  21